Computed XRD peak list of MgCd4Tc4O12 for Cu Kα, 1.54184 Å, from a crystal structure in the Materials Project, relaxed with GGA-PBE.
Intensities are scaled so that the largest is 100.

Crystal structure
Unit cell a=5.534 b=7.991 c=5.705 alpha=90.00 beta=93.17 gamma=90.00
Space group Pm (No. 6)
Inequivalent atoms, fractional coordinates:
Mg 0.000 0.000 0.000 x1
Cd 0.346 0.500 0.713 x1
Cd 0.436 0.000 0.746 x1
Cd 0.678 0.000 0.302 x1
Cd 0.834 0.500 0.194 x1
Tc 0.352 0.259 0.219 x2
Tc 0.878 0.265 0.695 x2
O 0.068 0.314 0.409 x2
O 0.186 0.203 0.897 x2
O 0.241 0.000 0.291 x1
O 0.426 0.500 0.111 x1
O 0.564 0.302 0.515 x2
O 0.699 0.195 0.001 x2
O 0.848 0.000 0.649 x1
O 0.924 0.500 0.808 x1

Largest 10 diffraction maxima, by angle, 10 to 90 degrees two-theta:
2θ (°), d (Å), intensity
31.36, 2.853, 100
32.24, 2.776, 81
32.41, 2.763, 21
44.40, 2.040, 13
45.40, 1.998, 24
47.07, 1.930, 15
55.28, 1.662, 13
56.24, 1.636, 16
56.87, 1.619, 11
57.01, 1.615, 15

=====

Computed XRD peak list of MgTi2Cd2O6 for Cu Kα, 1.54184 Å, from a crystal structure in the Materials Project, relaxed with GGA-PBE.
Intensities are scaled so that the largest is 100.

Crystal structure
Unit cell a=5.4986 b=5.4986 c=15.5424 alpha=90.00 beta=90.00 gamma=120.00
Space group R-3 (No. 148, hexagonal axes)
Inequivalent atoms, fractional coordinates:
Mg 0.0000 0.0000 0.0000 x3
Ti 0.0000 0.0000 0.1839 x6
Cd 0.0000 0.0000 0.4085 x6
O 0.0066 0.4704 0.5795 x18

Largest 10 diffraction maxima, by angle, 10 to 90 degrees two-theta:
2θ (°), d (Å), intensity
19.50, 4.553, 32
29.67, 3.011, 20
32.57, 2.749, 100
34.46, 2.603, 79
38.24, 2.354, 28
48.14, 1.890, 51
58.11, 1.587, 19
59.33, 1.558, 32
68.22, 1.375, 18
78.75, 1.215, 20

=====

Computed XRD peak list of MgTi2Cd2O6 for Cu Kα, 1.54184 Å, from a crystal structure in the Materials Project, relaxed with GGA-PBE.
Intensities are scaled so that the largest is 100.

Crystal structure
Unit cell a=5.1828 b=5.1828 c=20.5426 alpha=90.00 beta=90.00 gamma=120.00
Space group R-3 (No. 148, hexagonal axes)
Inequivalent atoms, fractional coordinates:
Mg 0.0000 0.0000 0.0000 x3
Ti 0.0000 0.0000 0.3498 x6
Cd 0.0000 0.0000 0.1973 x6
O 0.0098 0.6535 0.9485 x18

Largest 10 diffraction maxima, by angle, 10 to 90 degrees two-theta:
2θ (°), d (Å), intensity
21.61, 4.113, 100
29.47, 3.031, 78
34.61, 2.591, 73
36.58, 2.456, 35
37.09, 2.424, 21
43.81, 2.066, 41
46.09, 1.970, 23
51.25, 1.783, 15
58.90, 1.568, 21
62.03, 1.496, 25

=====

Computed XRD peak list of Mg14TiCdO16 for Cu Kα, 1.54184 Å, from a crystal structure in the Materials Project, relaxed with GGA-PBE.
Intensities are scaled so that the largest is 100.

Crystal structure
Unit cell a=8.639 b=8.639 c=4.315 alpha=90.00 beta=90.00 gamma=90.00
Space group P4/mmm (No. 123)
Inequivalent atoms, fractional coordinates:
Mg 0.000 0.252 0.000 x4
Mg 0.000 0.500 0.500 x2
Mg 0.246 0.500 0.000 x4
Mg 0.249 0.249 0.500 x4
Ti 0.000 0.000 0.500 x1
Cd 0.500 0.500 0.500 x1
O 0.000 0.000 0.000 x1
O 0.000 0.252 0.500 x4
O 0.000 0.500 0.000 x2
O 0.234 0.500 0.500 x4
O 0.250 0.250 0.000 x4
O 0.500 0.500 0.000 x1

Largest 10 diffraction maxima, by angle, 10 to 90 degrees two-theta:
2θ (°), d (Å), intensity
10.24, 8.639, 12
14.50, 6.109, 15
20.57, 4.318, 13
25.27, 3.525, 10
29.25, 3.053, 11
36.02, 2.493, 23
41.84, 2.159, 100
60.66, 1.527, 57
72.61, 1.302, 12
76.41, 1.247, 17

=====

Computed XRD peak list of MgTi2Cd2O6 for Cu Kα, 1.54184 Å, from a crystal structure in the Materials Project, relaxed with GGA-PBE.
Intensities are scaled so that the largest is 100.

Crystal structure
Unit cell a=5.552 b=5.553 c=6.030 alpha=62.66 beta=62.65 gamma=60.03
Space group P1 (No. 1)
Inequivalent atoms, fractional coordinates:
Mg 0.000 0.000 0.000 x1
Ti 0.188 0.188 0.436 x1
Ti 0.375 0.376 0.874 x1
Cd 0.614 0.614 0.157 x1
Cd 0.795 0.794 0.617 x1
O 0.048 0.153 0.225 x1
O 0.155 0.574 0.224 x1
O 0.240 0.770 0.704 x1
O 0.285 0.242 0.704 x1
O 0.575 0.047 0.226 x1
O 0.769 0.286 0.704 x1

Largest 10 diffraction maxima, by angle, 10 to 90 degrees two-theta:
2θ (°), d (Å), intensity
19.34, 4.589, 24
21.81, 4.074, 21
29.80, 2.998, 15
32.24, 2.777, 100
34.69, 2.586, 73
37.87, 2.376, 24
48.08, 1.892, 46
57.49, 1.603, 20
59.08, 1.564, 30
67.46, 1.388, 18

=====

Computed XRD peak list of Mg14TiCdO16 for Cu Kα, 1.54184 Å, from a crystal structure in the Materials Project, relaxed with GGA-PBE.
Intensities are scaled so that the largest is 100.

Crystal structure
Unit cell a=4.315 b=8.645 c=8.681 alpha=90.00 beta=90.00 gamma=90.00
Space group Pmmm (No. 47)
Inequivalent atoms, fractional coordinates:
Mg 0.000 0.000 0.000 x1
Mg 0.000 0.000 0.500 x1
Mg 0.000 0.246 0.250 x4
Mg 0.500 0.000 0.250 x2
Mg 0.500 0.245 0.000 x2
Mg 0.500 0.247 0.500 x2
Mg 0.500 0.500 0.252 x2
Ti 0.000 0.500 0.500 x1
Cd 0.000 0.500 0.000 x1
O 0.000 0.000 0.253 x2
O 0.000 0.232 0.000 x2
O 0.000 0.245 0.500 x2
O 0.000 0.500 0.263 x2
O 0.500 0.000 0.000 x1
O 0.500 0.000 0.500 x1
O 0.500 0.251 0.250 x4
O 0.500 0.500 0.000 x1
O 0.500 0.500 0.500 x1

Largest 10 diffraction maxima, by angle, 10 to 90 degrees two-theta:
2θ (°), d (Å), intensity
10.22, 8.654, 34
20.50, 4.331, 14
22.96, 3.874, 16
29.20, 3.059, 17
35.96, 2.498, 35
41.61, 2.170, 51
41.84, 2.159, 100
60.48, 1.531, 58
60.65, 1.527, 29
76.25, 1.249, 26

=====

Computed XRD peak list of YMg14CdO16 for Cu Kα, 1.54184 Å, from a crystal structure in the Materials Project, relaxed with GGA-PBE.
Intensities are scaled so that the largest is 100.

Crystal structure
Unit cell a=4.394 b=8.750 c=8.868 alpha=90.00 beta=90.00 gamma=90.00
Space group Pmmm (No. 47)
Inequivalent atoms, fractional coordinates:
Y 0.000 0.000 0.000 x1
Mg 0.000 0.259 0.257 x4
Mg 0.000 0.500 0.000 x1
Mg 0.000 0.500 0.500 x1
Mg 0.500 0.000 0.261 x2
Mg 0.500 0.256 0.500 x2
Mg 0.500 0.263 0.000 x2
Mg 0.500 0.500 0.252 x2
Cd 0.000 0.000 0.500 x1
O 0.000 0.000 0.243 x2
O 0.000 0.260 0.000 x2
O 0.000 0.272 0.500 x2
O 0.000 0.500 0.246 x2
O 0.500 0.000 0.000 x1
O 0.500 0.000 0.500 x1
O 0.500 0.250 0.247 x4
O 0.500 0.500 0.000 x1
O 0.500 0.500 0.500 x1

Largest 10 diffraction maxima, by angle, 10 to 90 degrees two-theta:
2θ (°), d (Å), intensity
10.11, 8.750, 75
20.25, 4.384, 45
35.33, 2.541, 80
40.70, 2.217, 100
41.08, 2.197, 98
41.27, 2.187, 94
59.21, 1.561, 58
59.35, 1.557, 56
59.65, 1.550, 55
74.72, 1.270, 51

=====

Computed XRD peak list of Pm2MgCd for Cu Kα, 1.54184 Å, from a crystal structure in the Materials Project, relaxed with GGA-PBE.
Intensities are scaled so that the largest is 100.

Crystal structure
Unit cell a=7.693 b=7.693 c=7.693 alpha=90.00 beta=90.00 gamma=90.00
Space group Fm-3m (No. 225)
Inequivalent atoms, fractional coordinates:
Pm 0.250 0.250 0.250 x8
Mg 0.000 0.000 0.000 x4
Cd 0.000 0.000 0.500 x4

Largest 10 diffraction maxima, by angle, 10 to 90 degrees two-theta:
2θ (°), d (Å), intensity
19.99, 4.441, 10
23.12, 3.846, 15
32.93, 2.720, 100
38.82, 2.319, 5
40.63, 2.221, 5
47.26, 1.923, 18
53.25, 1.720, 7
58.80, 1.570, 37
69.07, 1.360, 11
78.66, 1.216, 16

=====

Which formula does entry 7 have?
YMg14CdO16

=====

What is the formula in the seventh record?
YMg14CdO16